1.
Starting from the GGA-PBE geometry in OQMD, the powder XRD pattern of Cs2ScPdCl6 was calculated for Cu Kα X-rays.
Lines closer than 0.1° are merged.

Main lines, sorted by position (5° ≤ 2θ ≤ 70°):
d/Å	intensity	(hkl)
3.668	100	2 2 0
3.128	5	3 1 1
2.995	36	2 2 2
2.593	67	4 0 0
2.118	44	4 2 2
1.834	45	4 4 0
1.640	20	6 2 0
1.564	13	6 2 2
1.497	15	4 4 4
1.386	23	6 4 2

```
data_Cs2ScPdCl6
_symmetry_space_group_name_H-M 'F m -3 m'
_symmetry_Int_Tables_number 225
_symmetry_space_group_name_Hall '-F 4 2 3'
_cell_length_a 10.374
_cell_length_b 10.374
_cell_length_c 10.374
_cell_angle_alpha 90.00
_cell_angle_beta 90.00
_cell_angle_gamma 90.00
loop_
_atom_site_label
_atom_site_type_symbol
_atom_site_fract_x
_atom_site_fract_y
_atom_site_fract_z
Cs1 Cs 0.250 0.250 0.250
Sc1 Sc 0.000 0.000 0.000
Pd1 Pd 0.000 0.000 0.500
Cl1 Cl 0.000 0.000 0.242
```

---

2.
Starting from the GGA-PBE geometry in OQMD, the powder XRD pattern of Cs3PmCl6 was calculated for Cu Kα X-rays.
Lines closer than 0.1° are merged.

Main lines, sorted by position (5° ≤ 2θ ≤ 70°):
d/Å	intensity	(hkl)
4.249	95	1 1 1
4.191	33	2 0 -2
4.106	42	0 2 0
4.053	95	3 1 -1
2.933	100	2 2 -2
2.471	26	1 1 -3
2.387	33	4 2 0
2.358	57	5 1 -3
1.882	24	1 3 -3
1.829	27	5 3 -3

```
data_Cs3PmCl6
_symmetry_space_group_name_H-M 'C 1 2/m 1'
_symmetry_Int_Tables_number 12
_symmetry_space_group_name_Hall '-C 2y'
_cell_length_a 13.980
_cell_length_b 8.213
_cell_length_c 8.401
_cell_angle_alpha 90.00
_cell_angle_beta 122.96
_cell_angle_gamma 90.00
loop_
_atom_site_label
_atom_site_type_symbol
_atom_site_fract_x
_atom_site_fract_y
_atom_site_fract_z
Cs1 Cs 0.000 0.000 0.000
Cs2 Cs 0.243 0.000 0.721
Pm1 Pm 0.000 0.500 0.500
Cl1 Cl 0.069 0.267 0.351
Cl2 Cl 0.212 0.500 0.827
```

---

3.
Starting from the GGA-PBE geometry in OQMD, the powder XRD pattern of CsPuCl6 was calculated for Cu Kα X-rays.
Lines closer than 0.1° are merged.

Main lines, sorted by position (5° ≤ 2θ ≤ 70°):
d/Å	intensity	(hkl)
5.837	33	1 0 1
5.173	100	0 1 2
3.795	76	1 0 4
3.535	31	1 1 0
2.919	47	2 0 2
2.382	48	1 1 6
2.250	40	0 1 8
2.087	29	2 1 4
1.724	18	0 3 6
1.672	22	1 2 8

```
data_CsPuCl6
_symmetry_space_group_name_H-M 'R -3 m'
_symmetry_Int_Tables_number 166
_symmetry_space_group_name_Hall '-R 3 2"'
_cell_length_a 7.0698
_cell_length_b 7.0698
_cell_length_c 19.3418
_cell_angle_alpha 90.00
_cell_angle_beta 90.00
_cell_angle_gamma 120.00
loop_
_atom_site_label
_atom_site_type_symbol
_atom_site_fract_x
_atom_site_fract_y
_atom_site_fract_z
Cs1 Cs 0.0000 0.0000 0.0000
Pu1 Pu 0.0000 0.0000 0.5000
Cl1 Cl 0.0009 0.5004 0.9089
```

---

4.
Starting from the GGA-PBE geometry in OQMD, the powder XRD pattern of Cs2ReCl6 was calculated for Cu Kα X-rays.
Lines closer than 0.1° are merged.

Main lines, sorted by position (5° ≤ 2θ ≤ 70°):
d/Å	intensity	(hkl)
6.005	100	1 0 1
3.720	50	2 0 0
3.656	95	1 1 2
3.162	27	2 1 1
3.002	34	2 0 2
2.630	60	2 2 0
2.543	28	0 0 4
2.135	42	3 1 2
2.099	21	2 0 4
1.828	38	2 2 4

```
data_Cs2ReCl6
_symmetry_space_group_name_H-M 'I 4/m m m'
_symmetry_Int_Tables_number 139
_symmetry_space_group_name_Hall '-I 4 2'
_cell_length_a 7.440
_cell_length_b 7.440
_cell_length_c 10.170
_cell_angle_alpha 90.00
_cell_angle_beta 90.00
_cell_angle_gamma 90.00
loop_
_atom_site_label
_atom_site_type_symbol
_atom_site_fract_x
_atom_site_fract_y
_atom_site_fract_z
Cs1 Cs 0.000 0.500 0.250
Re1 Re 0.000 0.000 0.000
Cl1 Cl 0.000 0.000 0.234
Cl2 Cl 0.226 0.226 0.000
```

---

5.
Starting from the GGA-PBE geometry in OQMD, the powder XRD pattern of Cs3W2Cl9 was calculated for Cu Kα X-rays.
Lines closer than 0.1° are merged.

Main lines, sorted by position (5° ≤ 2θ ≤ 70°):
d/Å	intensity	(hkl)
8.979	25	0 0 2
6.418	35	1 0 0
6.044	79	1 0 1
3.706	100	1 1 0
3.134	49	1 0 5
2.828	45	2 0 3
2.611	33	2 0 4
2.393	28	2 0 5
2.010	31	2 1 5
1.853	37	2 2 0

```
data_Cs3W2Cl9
_symmetry_space_group_name_H-M 'P 63/m m c'
_symmetry_Int_Tables_number 194
_symmetry_space_group_name_Hall '-P 6c 2c'
_cell_length_a 7.4112
_cell_length_b 7.4112
_cell_length_c 17.9583
_cell_angle_alpha 90.00
_cell_angle_beta 90.00
_cell_angle_gamma 120.00
loop_
_atom_site_label
_atom_site_type_symbol
_atom_site_fract_x
_atom_site_fract_y
_atom_site_fract_z
Cs1 Cs 0.0000 0.0000 0.2500
Cs2 Cs 0.3333 0.6667 0.0721
W1 W 0.3333 0.6667 0.6727
Cl1 Cl 0.0105 0.5053 0.7500
Cl2 Cl 0.1792 0.3585 0.5958
```

---

6.
Starting from the GGA-PBE geometry in OQMD, the powder XRD pattern of CsW3Cl9 was calculated for Cu Kα X-rays.
Lines closer than 0.1° are merged.

Main lines, sorted by position (5° ≤ 2θ ≤ 70°):
d/Å	intensity	(hkl)
8.521	36	0 0 1
8.278	100	1 0 0
5.938	72	1 0 1
4.168	15	2 -1 1
3.129	16	1 2 0
2.625	13	3 0 1
2.522	58	1 2 2
2.299	18	4 -2 1
2.103	14	2 1 3
2.084	19	2 2 2

```
data_CsW3Cl9
_symmetry_space_group_name_H-M 'P -3'
_symmetry_Int_Tables_number 147
_symmetry_space_group_name_Hall '-P 3'
_cell_length_a 9.5589
_cell_length_b 9.5589
_cell_length_c 8.5208
_cell_angle_alpha 90.00
_cell_angle_beta 90.00
_cell_angle_gamma 120.00
loop_
_atom_site_label
_atom_site_type_symbol
_atom_site_fract_x
_atom_site_fract_y
_atom_site_fract_z
Cs1 Cs 0.3333 0.6667 0.0972
W1 W 0.0286 0.8366 0.6277
Cl1 Cl 0.0317 0.8171 0.1854
Cl2 Cl 0.0609 0.6464 0.8028
Cl3 Cl 0.1565 0.4138 0.5003
```

---

7.
Starting from the GGA-PBE geometry in OQMD, the powder XRD pattern of Cu3Cl4 was calculated for Cu Kα X-rays.
Lines closer than 0.1° are merged.

Main lines, sorted by position (5° ≤ 2θ ≤ 70°):
d/Å	intensity	(hkl)
5.327	22	1 0 0
3.767	19	1 1 0
3.076	100	1 1 1
2.380	7	2 0 1
2.175	8	2 1 1
1.885	42	2 0 2
1.881	21	2 2 0
1.776	4	2 1 2
1.610	13	1 1 3
1.605	25	3 1 1

```
data_Cu3Cl4
_symmetry_space_group_name_H-M 'P -4 2 m'
_symmetry_Int_Tables_number 111
_symmetry_space_group_name_Hall 'P -4 2'
_cell_length_a 5.319
_cell_length_b 5.319
_cell_length_c 5.344
_cell_angle_alpha 90.00
_cell_angle_beta 90.00
_cell_angle_gamma 90.00
loop_
_atom_site_label
_atom_site_type_symbol
_atom_site_fract_x
_atom_site_fract_y
_atom_site_fract_z
Cu1 Cu 0.000 0.000 0.000
Cu2 Cu 0.000 0.500 0.500
Cl1 Cl 0.249 0.249 0.749
```

---

8.
Starting from the GGA-PBE geometry in OQMD, the powder XRD pattern of Cu3Cl4 was calculated for Cu Kα X-rays.
Lines closer than 0.1° are merged.

Main lines, sorted by position (5° ≤ 2θ ≤ 70°):
d/Å	intensity	(hkl)
5.335	8	0 0 2
4.775	24	1 0 1
3.775	6	1 1 0
3.082	100	1 1 2
2.960	6	1 0 3
2.387	3	2 0 2
2.330	6	2 1 1
1.982	6	2 1 3
1.887	63	2 2 0
1.609	38	3 1 2

```
data_Cu3Cl4
_symmetry_space_group_name_H-M 'I -4 2 m'
_symmetry_Int_Tables_number 121
_symmetry_space_group_name_Hall 'I -4 2'
_cell_length_a 5.339
_cell_length_b 5.339
_cell_length_c 10.670
_cell_angle_alpha 90.00
_cell_angle_beta 90.00
_cell_angle_gamma 90.00
loop_
_atom_site_label
_atom_site_type_symbol
_atom_site_fract_x
_atom_site_fract_y
_atom_site_fract_z
Cu1 Cu 0.000 0.000 0.000
Cu2 Cu 0.000 0.500 0.250
Cl1 Cl 0.246 0.246 0.873
```